The following is a computed PXRD pattern of Pm2HoMoO8. It was derived from a crystal structure in Alexandria, relaxed with PBE+U, using copper Kα.
Peak positions follow from Bragg's law for the DFT cell and can differ from measured ones.

The 8 most intense peaks (2θ = 5–70°), in order of rising 2θ:
| 2θ (°) | I (rel.) | hkl |
| --- | --- | --- |
| 24.2 | 61.8 | 0 2 0 |
| 24.6 | 55.4 | 2 0 0 |
| 31.2 | 100.0 | 1 1 2 |
| 34.7 | 29.4 | 2 2 0 |
| 47.2 | 42.5 | 1 3 2 |
| 47.6 | 37.4 | 3 1 2 |
| 60.1 | 23.2 | 3 3 2 |
| 65.1 | 11.0 | 2 2 4 |

Structural model:
```
data_Pm2HoMoO8
_symmetry_space_group_name_H-M 'C m m m'
_symmetry_Int_Tables_number 65
_symmetry_space_group_name_Hall '-C 2 2'
_cell_length_a 7.250
_cell_length_b 7.366
_cell_length_c 6.886
_cell_angle_alpha 90.00
_cell_angle_beta 90.00
_cell_angle_gamma 90.00
loop_
_atom_site_label
_atom_site_fract_x
_atom_site_fract_y
_atom_site_fract_z
_atom_site_occupancy
Pm1 0.000 0.000 0.250 1
Ho1 0.000 0.500 0.000 1
Mo1 0.000 0.500 0.500 1
O1 0.000 0.322 0.288 1
O2 0.199 0.000 0.000 1
O3 0.233 0.000 0.500 1
```